Record 1
Calculated powder diffractogram of Sr2YCu3Pb2O8 for Cu Kα X-rays, from a structure optimized by DFT (PBE).

Largest 10 diffraction maxima, in order of rising 2θ, 10° ≤ 2θ ≤ 90°:
| d_spacing | 2θ/deg | I (rel.) |
| --- | --- | --- |
| 3.708 | 24.00 | 34 |
| 2.741 | 32.67 | 100 |
| 2.731 | 32.80 | 52 |
| 2.718 | 32.96 | 51 |
| 2.706 | 33.10 | 71 |
| 2.684 | 33.38 | 70 |
| 2.045 | 44.28 | 21 |
| 1.908 | 47.66 | 32 |
| 1.903 | 47.79 | 32 |
| 1.563 | 59.11 | 28 |

Structural model:
```
Sr2YCu3Pb2O8
1.0
5.368 0.000 0.000
-0.013 5.412 0.000
-0.132 -0.080 15.677
Sr Y Cu Pb O
4 2 6 4 16
Direct
0.002 0.001 0.221
0.498 0.497 0.779
0.502 0.503 0.221
0.998 0.999 0.779
0.000 0.000 0.000
0.500 0.500 0.000
0.000 0.000 0.500
0.000 0.500 0.104
0.000 0.500 0.896
0.500 0.001 0.104
0.500 0.500 0.500
0.500 0.999 0.896
0.005 0.488 0.610
0.495 0.003 0.389
0.505 0.997 0.611
0.995 0.512 0.390
0.002 0.494 0.250
0.047 0.946 0.384
0.249 0.249 0.907
0.250 0.251 0.092
0.250 0.750 0.093
0.250 0.750 0.909
0.469 0.429 0.615
0.495 0.990 0.750
0.505 0.010 0.250
0.531 0.571 0.385
0.750 0.250 0.091
0.750 0.250 0.907
0.750 0.749 0.908
0.751 0.751 0.093
0.953 0.054 0.616
0.998 0.506 0.750
```

***

Record 2
Calculated powder diffractogram of Sr2YCu2PbO7 for Cu Kα X-rays, from a structure optimized by DFT (PBE).

Largest 10 diffraction maxima, in order of rising 2θ, 10° ≤ 2θ ≤ 90°:
| d_spacing | 2θ/deg | I (rel.) |
| --- | --- | --- |
| 3.648 | 24.40 | 22 |
| 3.245 | 27.49 | 27 |
| 2.794 | 32.04 | 100 |
| 2.702 | 33.16 | 70 |
| 2.457 | 36.57 | 14 |
| 2.029 | 44.67 | 21 |
| 1.910 | 47.60 | 37 |
| 1.818 | 50.18 | 12 |
| 1.632 | 56.38 | 12 |
| 1.577 | 58.53 | 37 |

Structural model:
```
Sr2YCu2PbO7
1.0
3.821 0.000 0.000
0.000 3.821 0.000
0.000 0.000 12.287
Sr Y Cu Pb O
2 1 2 1 7
Direct
0.000 0.000 0.213
0.000 0.000 0.787
0.000 0.000 0.500
0.500 0.500 0.361
0.500 0.500 0.639
0.500 0.500 0.000
0.000 0.000 0.000
0.000 0.500 0.381
0.000 0.500 0.619
0.500 0.000 0.381
0.500 0.000 0.619
0.500 0.500 0.185
0.500 0.500 0.815
```

***

Record 3
Calculated powder diffractogram of Sr2YCu3Pb2O8 for Cu Kα X-rays, from a structure optimized by DFT (PBE).

Largest 10 diffraction maxima, in order of rising 2θ, 10° ≤ 2θ ≤ 90°:
| d_spacing | 2θ/deg | I (rel.) |
| --- | --- | --- |
| 3.747 | 23.75 | 21 |
| 3.121 | 28.60 | 11 |
| 2.772 | 32.30 | 100 |
| 2.744 | 32.63 | 34 |
| 2.707 | 33.09 | 39 |
| 2.189 | 41.25 | 15 |
| 1.927 | 47.15 | 32 |
| 1.590 | 58.02 | 20 |
| 1.575 | 58.60 | 19 |
| 1.223 | 78.12 | 14 |

Structural model:
```
Sr2YCu3Pb2O8
1.0
5.416 0.000 0.000
0.000 15.951 0.000
0.000 0.000 5.488
Sr Y Cu Pb O
4 2 6 4 16
Direct
0.000 0.221 0.003
0.000 0.779 0.997
0.500 0.221 0.497
0.500 0.779 0.503
0.000 0.000 0.000
0.500 0.000 0.500
0.000 0.104 0.501
0.000 0.500 0.000
0.000 0.896 0.499
0.500 0.104 0.999
0.500 0.500 0.500
0.500 0.896 0.001
0.000 0.389 0.493
0.000 0.611 0.507
0.500 0.389 0.007
0.500 0.611 0.993
0.000 0.251 0.512
0.000 0.385 0.067
0.000 0.615 0.933
0.000 0.749 0.488
0.250 0.091 0.750
0.250 0.092 0.250
0.250 0.908 0.750
0.250 0.909 0.250
0.500 0.251 0.988
0.500 0.385 0.433
0.500 0.615 0.567
0.500 0.749 0.012
0.750 0.091 0.750
0.750 0.092 0.250
0.750 0.908 0.750
0.750 0.909 0.250
```

***

Record 4
Calculated powder diffractogram of Sr2YCu3Pb2O8 for Cu Kα X-rays, from a structure optimized by DFT (PBE).

Largest 10 diffraction maxima, in order of rising 2θ, 10° ≤ 2θ ≤ 90°:
| d_spacing | 2θ/deg | I (rel.) |
| --- | --- | --- |
| 3.730 | 23.86 | 22 |
| 2.808 | 31.87 | 37 |
| 2.765 | 32.38 | 72 |
| 2.744 | 32.64 | 37 |
| 2.721 | 32.92 | 100 |
| 2.088 | 43.33 | 14 |
| 1.931 | 47.06 | 23 |
| 1.917 | 47.42 | 25 |
| 1.597 | 57.73 | 19 |
| 1.571 | 58.76 | 29 |

Structural model:
```
Sr2YCu3Pb2O8
1.0
3.863 0.000 0.000
0.000 3.834 0.000
-0.371 0.000 15.966
Sr Y Cu Pb O
2 1 3 2 8
Direct
0.010 0.000 0.221
0.990 0.000 0.779
0.000 0.000 0.000
0.000 0.000 0.500
0.498 0.500 0.896
0.502 0.500 0.104
0.496 0.500 0.611
0.504 0.500 0.389
0.000 0.500 0.092
0.000 0.500 0.908
0.100 0.000 0.386
0.488 0.500 0.749
0.497 0.000 0.908
0.503 0.000 0.092
0.512 0.500 0.251
0.900 0.000 0.614
```

***

Record 5
Calculated powder diffractogram of Cu3TePbO7 for Cu Kα X-rays, from a structure optimized by DFT (PBE).

Largest 10 diffraction maxima, in order of rising 2θ, 10° ≤ 2θ ≤ 90°:
| d_spacing | 2θ/deg | I (rel.) |
| --- | --- | --- |
| 4.679 | 18.97 | 31 |
| 3.459 | 25.75 | 33 |
| 3.016 | 29.62 | 100 |
| 2.936 | 30.44 | 83 |
| 2.906 | 30.77 | 38 |
| 2.858 | 31.30 | 26 |
| 2.777 | 32.23 | 27 |
| 2.693 | 33.28 | 34 |
| 2.628 | 34.12 | 56 |
| 1.814 | 50.31 | 24 |

Structural model:
```
Cu3TePbO7
1.0
10.667 0.000 0.000
0.000 6.421 0.000
0.000 0.000 8.898
Cu Te Pb O
12 4 4 28
Direct
0.112 0.009 0.124
0.112 0.491 0.124
0.247 0.750 0.905
0.253 0.250 0.405
0.388 0.509 0.624
0.388 0.991 0.624
0.612 0.009 0.376
0.612 0.491 0.376
0.747 0.750 0.595
0.753 0.250 0.095
0.888 0.509 0.876
0.888 0.991 0.876
0.115 0.250 0.798
0.385 0.750 0.298
0.615 0.250 0.702
0.885 0.750 0.202
0.107 0.750 0.545
0.393 0.250 0.045
0.607 0.750 0.955
0.893 0.250 0.455
0.012 0.027 0.710
0.012 0.473 0.710
0.019 0.750 0.045
0.202 0.250 0.202
0.209 0.044 0.927
0.209 0.456 0.927
0.235 0.250 0.639
0.265 0.750 0.139
0.291 0.544 0.427
0.291 0.956 0.427
0.298 0.750 0.702
0.481 0.250 0.545
0.488 0.527 0.210
0.488 0.973 0.210
0.512 0.027 0.790
0.512 0.473 0.790
0.519 0.750 0.455
0.702 0.250 0.298
0.709 0.044 0.573
0.709 0.456 0.573
0.735 0.250 0.861
0.765 0.750 0.361
0.791 0.544 0.073
0.791 0.956 0.073
0.798 0.750 0.798
0.981 0.250 0.955
0.988 0.527 0.290
0.988 0.973 0.290
```

***

Record 6
Calculated powder diffractogram of CuPdO2 for Cu Kα X-rays, from a structure optimized by DFT (PBE).

Largest 10 diffraction maxima, in order of rising 2θ, 10° ≤ 2θ ≤ 90°:
| d_spacing | 2θ/deg | I (rel.) |
| --- | --- | --- |
| 2.646 | 33.88 | 17 |
| 2.627 | 34.13 | 100 |
| 2.148 | 42.06 | 9 |
| 2.132 | 42.39 | 9 |
| 1.668 | 55.07 | 16 |
| 1.660 | 55.34 | 16 |
| 1.524 | 60.78 | 18 |
| 1.513 | 61.25 | 11 |
| 1.314 | 71.82 | 18 |
| 1.308 | 72.25 | 10 |

Structural model:
```
CuPdO2
1.0
5.291 0.000 0.000
0.000 4.264 0.000
0.000 0.000 4.296
Cu Pd O
2 2 4
Direct
0.000 0.000 0.000
0.500 0.000 0.500
0.000 0.500 0.500
0.500 0.500 0.000
0.250 0.231 0.250
0.250 0.769 0.750
0.750 0.231 0.250
0.750 0.769 0.750
```